For Sc2Si5Rh3, a DFT-relaxed cell (PBE, Alexandria) gives the theoretical PXRD pattern in this record (a wavelength of 1.5418 Å).
Neutral-atom scattering factors, no anomalous dispersion.

Main lines, sorted by position (2θ from 15° to 90°):
24.0°, rel. 42; 25.1°, rel. 60; 25.4°, rel. 41; 34.2°, rel. 47; 35.5°, rel. 100; 36.4°, rel. 38; 36.9°, rel. 42; 45.3°, rel. 86; 49.0°, rel. 37; 49.4°, rel. 31

Structure:
```
Sc2Si5Rh3
1.0
-4.894 5.718 2.804
4.894 -5.718 2.804
4.894 5.718 -2.804
Sc Si Rh
4 10 6
Cartesian
2.239 1.526 0.000
2.239 -1.526 2.804
2.655 7.243 0.000
2.655 4.192 2.804
4.894 -2.504 1.402
6.478 1.184 0.000
0.000 0.000 1.402
1.584 4.533 0.000
4.894 2.504 1.402
0.000 3.213 1.402
3.310 1.184 2.804
0.000 0.000 4.206
-1.584 4.533 2.804
0.000 8.222 1.402
3.825 -4.102 2.804
4.894 0.000 1.402
3.825 4.102 0.000
1.069 1.615 2.804
0.000 5.718 1.402
1.069 9.820 0.000
```